[1]
Starting from a DFT-relaxed cell (PBE, the Materials Project), the X-ray diffraction stick pattern of YScO3 was simulated for Cu Kα, 1.54184 Å.
Peak positions follow from Bragg's law for the DFT cell and can differ from measured ones.

Atomic structure:
Lattice parameters (Å, degrees): 6.217 6.217 12.300 90.00 90.00 120.00
Fractional positions:
1 Y 0.000 0.000 0.000
2 Y 0.000 0.000 0.500
3 Y 0.333 0.667 0.460
4 Y 0.333 0.667 0.960
5 Y 0.667 0.333 0.460
6 Y 0.667 0.333 0.960
7 Sc 0.000 0.334 0.227
8 Sc 0.000 0.666 0.727
9 Sc 0.334 0.000 0.227
10 Sc 0.334 0.334 0.727
11 Sc 0.666 0.000 0.727
12 Sc 0.666 0.666 0.227
13 O 0.000 0.000 0.201
14 O 0.000 0.000 0.701
15 O 0.000 0.308 0.394
16 O 0.000 0.359 0.061
17 O 0.000 0.641 0.561
18 O 0.000 0.692 0.894
19 O 0.308 0.000 0.394
20 O 0.308 0.308 0.894
21 O 0.333 0.667 0.247
22 O 0.333 0.667 0.747
23 O 0.359 0.000 0.061
24 O 0.359 0.359 0.561
25 O 0.641 0.000 0.561
26 O 0.641 0.641 0.061
27 O 0.667 0.333 0.247
28 O 0.667 0.333 0.747
29 O 0.692 0.000 0.894
30 O 0.692 0.692 0.394

Most intense lines, 2θ = 10–80°, by intensity:
- 2θ 32.27, I 100, hkl 1 1 2
- 2θ 50.88, I 56, hkl 3 0 0
- 2θ 29.64, I 49, hkl 1 1 1
- 2θ 29.04, I 46, hkl 0 0 4
- 2θ 28.72, I 43, hkl 1 1 0
- 2θ 41.30, I 43, hkl 1 1 4
- 2θ 59.65, I 33, hkl 3 0 4
- 2θ 14.40, I 30, hkl 0 0 2
- 2θ 53.55, I 28, hkl 1 1 6
- 2θ 61.54, I 16, hkl 2 2 2

=====

[2]
Starting from a DFT-relaxed cell (PBE, the Materials Project), the X-ray diffraction stick pattern of YScO3 was simulated for Cu Kα, 1.54184 Å.
Peak positions follow from Bragg's law for the DFT cell and can differ from measured ones.

Atomic structure:
Lattice parameters (Å, degrees): 5.762 7.996 5.468 90.00 90.00 90.00
Fractional positions:
1 Y 0.063 0.250 0.020
2 Y 0.437 0.750 0.520
3 Y 0.563 0.250 0.480
4 Y 0.937 0.750 0.980
5 Sc 0.000 0.000 0.500
6 Sc 0.000 0.500 0.500
7 Sc 0.500 0.000 0.000
8 Sc 0.500 0.500 0.000
9 O 0.056 0.750 0.371
10 O 0.192 0.566 0.810
11 O 0.192 0.934 0.810
12 O 0.308 0.066 0.310
13 O 0.308 0.434 0.310
14 O 0.444 0.250 0.871
15 O 0.556 0.750 0.129
16 O 0.692 0.566 0.690
17 O 0.692 0.934 0.690
18 O 0.808 0.066 0.190
19 O 0.808 0.434 0.190
20 O 0.944 0.250 0.629

Most intense lines, 2θ = 10–80°, by intensity:
- 2θ 31.78, I 100, hkl 1 2 1
- 2θ 57.85, I 25, hkl 1 2 3
- 2θ 32.75, I 20, hkl 0 0 2
- 2θ 45.75, I 20, hkl 2 0 2
- 2θ 31.04, I 19, hkl 2 0 0
- 2θ 51.72, I 17, hkl 3 1 1
- 2θ 25.06, I 16, hkl 1 1 1
- 2θ 45.37, I 15, hkl 0 4 0
- 2θ 57.07, I 12, hkl 0 4 2
- 2θ 47.22, I 12, hkl 2 1 2